[1]
Structure and simulated X-ray diffraction stick pattern of Rb2Nd4Cu4Te9 (DFT lattice parameters and positions (GGA-PBE); Cu Kα X-rays).

Top 6 peaks for 2θ = 10–80°, by angle:
2θ = 26.33°, rel. 75
2θ = 26.76°, rel. 100
2θ = 26.95°, rel. 63
2θ = 28.55°, rel. 68
2θ = 35.10°, rel. 57
2θ = 40.47°, rel. 85

```
Rb2Nd4Cu4Te9
1.0
7.802 -2.229 0.000
7.802 2.229 0.000
-5.698 0.000 17.095
Rb Nd Cu Te
2 4 4 9
Direct
0.031 0.031 0.271
0.969 0.969 0.729
0.229 0.229 0.100
0.344 0.344 0.444
0.656 0.656 0.556
0.771 0.771 0.900
0.243 0.243 0.732
0.421 0.421 0.023
0.579 0.579 0.977
0.757 0.757 0.268
0.000 0.000 0.500
0.129 0.129 0.921
0.305 0.305 0.608
0.350 0.350 0.274
0.399 0.399 0.871
0.601 0.601 0.129
0.650 0.650 0.726
0.695 0.695 0.392
0.871 0.871 0.079
```


[2]
Structure and simulated X-ray diffraction stick pattern of PmAl2Ga2 (DFT lattice parameters and positions (GGA-PBE); Cu Kα X-rays).

Top 6 peaks for 2θ = 10–80°, by angle:
2θ = 30.15°, rel. 69
2θ = 32.05°, rel. 100
2θ = 34.21°, rel. 89
2θ = 43.17°, rel. 55
2θ = 45.81°, rel. 62
2θ = 54.76°, rel. 43

```
PmAl2Ga2
1.0
4.191 0.000 0.000
0.000 4.191 0.000
0.000 0.000 11.237
Pm Al Ga
2 4 4
Direct
0.000 0.000 0.000
0.500 0.500 0.500
0.000 0.500 0.250
0.000 0.500 0.750
0.500 0.000 0.250
0.500 0.000 0.750
0.000 0.000 0.389
0.000 0.000 0.611
0.500 0.500 0.111
0.500 0.500 0.889
```


[3]
Structure and simulated X-ray diffraction stick pattern of K2AgBr2Cl2 (DFT lattice parameters and positions (GGA-PBE); Cu Kα X-rays).

Top 6 peaks for 2θ = 10–80°, by angle:
2θ = 11.95°, rel. 62
2θ = 20.95°, rel. 64
2θ = 24.21°, rel. 49
2θ = 27.12°, rel. 91
2θ = 34.43°, rel. 100
2θ = 40.65°, rel. 44

```
K2AgBr2Cl2
1.0
4.241 0.000 0.000
0.000 7.331 0.000
0.000 0.000 7.405
K Ag Br Cl
2 1 2 2
Direct
0.000 0.000 0.000
0.000 0.500 0.453
0.500 0.500 0.971
0.500 0.250 0.725
0.500 0.750 0.725
0.500 0.261 0.211
0.500 0.739 0.211
```


[4]
Structure and simulated X-ray diffraction stick pattern of Y3Lu4Ni2Te2 (DFT lattice parameters and positions (GGA-PBE); Cu Kα X-rays).

Top 6 peaks for 2θ = 10–80°, by angle:
2θ = 30.55°, rel. 50
2θ = 33.24°, rel. 63
2θ = 34.37°, rel. 100
2θ = 34.81°, rel. 41
2θ = 47.52°, rel. 23
2θ = 59.22°, rel. 28

```
Y3Lu4Ni2Te2
1.0
-1.913 7.696 4.751
1.913 -7.696 4.751
1.913 7.696 -4.751
Y Lu Ni Te
3 4 2 2
Direct
0.000 0.000 0.000
0.308 0.623 0.685
0.937 0.623 0.315
0.286 0.420 0.867
0.553 0.420 0.133
0.624 0.271 0.352
0.919 0.271 0.648
0.166 0.926 0.239
0.687 0.926 0.761
0.269 0.769 0.500
0.663 0.663 0.000
```


[5]
Structure and simulated X-ray diffraction stick pattern of Er2PbS4 (DFT lattice parameters and positions (GGA-PBE); Cu Kα X-rays).

Top 6 peaks for 2θ = 10–80°, by angle:
2θ = 24.51°, rel. 23
2θ = 26.52°, rel. 100
2θ = 29.92°, rel. 57
2θ = 38.79°, rel. 28
2θ = 45.06°, rel. 19
2θ = 46.60°, rel. 21

```
Er2PbS4
1.0
11.370 0.000 0.000
0.000 4.024 0.000
0.000 0.000 14.530
Er Pb S
8 4 16
Direct
0.055 0.250 0.106
0.109 0.250 0.600
0.391 0.750 0.100
0.445 0.750 0.606
0.555 0.250 0.394
0.609 0.250 0.900
0.891 0.750 0.400
0.945 0.750 0.894
0.213 0.750 0.329
0.287 0.250 0.829
0.713 0.750 0.171
0.787 0.250 0.671
0.002 0.250 0.777
0.059 0.250 0.419
0.146 0.750 0.996
0.230 0.750 0.682
0.270 0.250 0.182
0.354 0.250 0.496
0.441 0.750 0.919
0.498 0.750 0.277
0.502 0.250 0.723
0.559 0.250 0.081
0.646 0.750 0.504
0.730 0.750 0.818
0.770 0.250 0.318
0.854 0.250 0.004
0.941 0.750 0.581
0.998 0.750 0.223
```


[6]
Structure and simulated X-ray diffraction stick pattern of NbAlCl8 (DFT lattice parameters and positions (GGA-PBE); Cu Kα X-rays).

Top 6 peaks for 2θ = 10–80°, by angle:
2θ = 12.11°, rel. 44
2θ = 14.93°, rel. 37
2θ = 16.27°, rel. 98
2θ = 30.33°, rel. 100
2θ = 51.46°, rel. 27
2θ = 54.65°, rel. 24

```
NbAlCl8
1.0
4.035 -8.626 0.000
4.035 8.626 0.000
0.000 0.000 8.175
Nb Al Cl
2 2 16
Direct
0.110 0.890 0.750
0.890 0.110 0.250
0.316 0.684 0.750
0.684 0.316 0.250
0.024 0.562 0.750
0.132 0.868 0.029
0.132 0.868 0.471
0.189 0.245 0.250
0.245 0.189 0.750
0.382 0.618 0.533
0.382 0.618 0.967
0.438 0.976 0.750
0.562 0.024 0.250
0.618 0.382 0.033
0.618 0.382 0.467
0.755 0.811 0.250
0.811 0.755 0.750
0.868 0.132 0.529
0.868 0.132 0.971
0.976 0.438 0.250
```


[7]
Structure and simulated X-ray diffraction stick pattern of Ba16Re6O37 (DFT lattice parameters and positions (GGA-PBE); Cu Kα X-rays).

Top 6 peaks for 2θ = 10–80°, by angle:
2θ = 27.68°, rel. 100
2θ = 29.18°, rel. 84
2θ = 30.46°, rel. 57
2θ = 41.60°, rel. 29
2θ = 48.00°, rel. 18
2θ = 53.35°, rel. 20

```
Ba16Re6O37
1.0
10.404 -2.934 0.000
10.404 2.934 0.000
-0.815 0.000 15.531
Ba Re O
16 6 37
Direct
0.000 0.000 0.000
0.000 0.000 0.500
0.092 0.092 0.800
0.181 0.181 0.047
0.233 0.233 0.395
0.266 0.266 0.798
0.394 0.394 0.603
0.419 0.419 0.354
0.453 0.453 0.862
0.547 0.547 0.138
0.581 0.581 0.646
0.606 0.606 0.397
0.734 0.734 0.202
0.767 0.767 0.605
0.819 0.819 0.953
0.908 0.908 0.200
0.079 0.079 0.265
0.173 0.173 0.608
0.358 0.358 0.073
0.642 0.642 0.927
0.827 0.827 0.392
0.921 0.921 0.735
0.045 0.590 0.302
0.068 0.068 0.141
0.068 0.524 0.090
0.072 0.601 0.473
0.084 0.084 0.627
0.086 0.628 0.744
0.092 0.092 0.385
0.187 0.651 0.049
0.217 0.751 0.730
0.249 0.783 0.270
0.264 0.264 0.603
0.339 0.339 0.949
0.349 0.813 0.951
0.372 0.914 0.256
0.394 0.394 0.183
0.399 0.928 0.527
0.410 0.955 0.698
0.476 0.932 0.910
0.500 0.500 0.500
0.524 0.068 0.090
0.590 0.045 0.302
0.601 0.072 0.473
0.606 0.606 0.817
0.628 0.086 0.744
0.651 0.187 0.049
0.661 0.661 0.051
0.736 0.736 0.397
0.751 0.217 0.730
0.783 0.249 0.270
0.813 0.349 0.951
0.908 0.908 0.615
0.914 0.372 0.256
0.916 0.916 0.373
0.928 0.399 0.527
0.932 0.476 0.910
0.932 0.932 0.859
0.955 0.410 0.698
```


[8]
Structure and simulated X-ray diffraction stick pattern of Zr2GaBiPd2 (DFT lattice parameters and positions (GGA-PBE); Cu Kα X-rays).

Top 6 peaks for 2θ = 10–80°, by angle:
2θ = 24.21°, rel. 45
2θ = 27.98°, rel. 18
2θ = 39.98°, rel. 50
2θ = 40.09°, rel. 100
2θ = 57.83°, rel. 17
2θ = 72.69°, rel. 33

```
Zr2GaBiPd2
1.0
-3.189 3.189 6.346
3.189 -3.189 6.346
3.189 3.189 -6.346
Zr Ga Bi Pd
4 2 2 4
Direct
0.244 0.244 0.000
0.506 0.006 0.500
0.756 0.756 0.000
0.994 0.494 0.500
0.000 0.000 0.000
0.750 0.250 0.500
0.250 0.750 0.500
0.500 0.500 0.000
0.112 0.625 0.987
0.375 0.362 0.487
0.638 0.125 0.013
0.875 0.888 0.513
```


What did the third record say?
Structure and simulated X-ray diffraction stick pattern of K2AgBr2Cl2 (DFT lattice parameters and positions (GGA-PBE); Cu Kα X-rays).

Top 6 peaks for 2θ = 10–80°, by angle:
2θ = 11.95°, rel. 62
2θ = 20.95°, rel. 64
2θ = 24.21°, rel. 49
2θ = 27.12°, rel. 91
2θ = 34.43°, rel. 100
2θ = 40.65°, rel. 44

```
K2AgBr2Cl2
1.0
4.241 0.000 0.000
0.000 7.331 0.000
0.000 0.000 7.405
K Ag Br Cl
2 1 2 2
Direct
0.000 0.000 0.000
0.000 0.500 0.453
0.500 0.500 0.971
0.500 0.250 0.725
0.500 0.750 0.725
0.500 0.261 0.211
0.500 0.739 0.211
```


Question: What is the formula in the fifth record?
Answer: Er2PbS4